Entry 1:
The following is a calculated PXRD pattern of LaNd2Ge7. It was derived from the PBE geometry in OQMD, using CuKα.

Cell and atoms:
```
LaNd2Ge7
1.0
2.102 -12.409 0.000
2.102 12.409 0.000
0.000 0.000 4.342
La Nd Ge
1 2 7
Direct
0.000 0.000 0.000
0.182 0.818 0.000
0.818 0.182 0.000
0.093 0.907 0.500
0.283 0.717 0.500
0.407 0.593 0.000
0.500 0.500 0.500
0.593 0.407 0.000
0.717 0.283 0.500
0.907 0.093 0.500
```

Top 12 peaks for 2θ from 10° to 90°, by intensity:
| 2θ/deg | I_rel |
| --- | --- |
| 34.77 | 100 |
| 41.59 | 18 |
| 43.03 | 16 |
| 29.83 | 14 |
| 36.19 | 13 |
| 71.51 | 12 |
| 61.39 | 11 |
| 73.53 | 11 |
| 56.30 | 7 |
| 57.45 | 7 |
| 73.39 | 7 |
| 71.82 | 7 |

Entry 2:
The following is a calculated PXRD pattern of CsNbP2SeS6. It was derived from the PBE geometry in OQMD, using CuKα.

Cell and atoms:
```
CsNbP2SeS6
1.0
4.528 -4.892 0.000
4.528 4.892 0.000
-1.116 0.000 6.947
Cs Nb P Se S
1 1 2 1 6
Direct
0.000 0.000 0.000
0.388 0.612 0.500
0.549 0.059 0.422
0.941 0.451 0.578
0.901 0.099 0.500
0.032 0.563 0.334
0.199 0.519 0.770
0.437 0.968 0.666
0.450 0.306 0.289
0.481 0.801 0.230
0.694 0.550 0.711
```

Top 12 peaks for 2θ from 10° to 90°, by intensity:
| 2θ/deg | I_rel |
| --- | --- |
| 27.02 | 100 |
| 31.31 | 81 |
| 22.22 | 70 |
| 17.42 | 68 |
| 29.97 | 65 |
| 45.15 | 64 |
| 12.74 | 64 |
| 19.61 | 40 |
| 43.19 | 36 |
| 18.13 | 34 |
| 44.58 | 33 |
| 19.86 | 33 |

Entry 3:
The following is a calculated PXRD pattern of H2PdS4O14. It was derived from the PBE geometry in OQMD, using CuKα.

Cell and atoms:
```
H2PdS4O14
1.0
9.141 0.000 0.000
0.000 6.683 0.000
-4.011 0.000 7.708
H Pd S O
4 2 8 28
Direct
0.019 0.202 0.413
0.019 0.298 0.913
0.981 0.702 0.087
0.981 0.798 0.587
0.500 0.000 0.000
0.500 0.500 0.500
0.231 0.141 0.381
0.231 0.359 0.881
0.273 0.669 0.127
0.273 0.831 0.627
0.727 0.169 0.373
0.727 0.331 0.873
0.769 0.641 0.119
0.769 0.859 0.619
0.131 0.012 0.241
0.131 0.488 0.741
0.132 0.230 0.942
0.132 0.270 0.442
0.133 0.579 0.137
0.133 0.921 0.637
0.242 0.662 0.516
0.242 0.838 0.016
0.349 0.012 0.548
0.349 0.234 0.855
0.349 0.266 0.355
0.349 0.488 0.048
0.420 0.694 0.297
0.420 0.806 0.797
0.580 0.194 0.203
0.580 0.306 0.703
0.651 0.512 0.952
0.651 0.734 0.645
0.651 0.766 0.145
0.651 0.988 0.452
0.758 0.162 0.984
0.758 0.338 0.484
0.867 0.079 0.363
0.867 0.421 0.863
0.868 0.730 0.558
0.868 0.770 0.058
0.869 0.512 0.259
0.869 0.988 0.759
```

Top 12 peaks for 2θ from 10° to 90°, by intensity:
| 2θ/deg | I_rel |
| --- | --- |
| 23.63 | 100 |
| 10.91 | 76 |
| 17.66 | 55 |
| 26.70 | 55 |
| 40.51 | 32 |
| 23.40 | 30 |
| 26.97 | 29 |
| 37.94 | 26 |
| 29.13 | 22 |
| 32.50 | 22 |
| 34.79 | 20 |
| 23.08 | 20 |

Entry 4:
The following is a calculated PXRD pattern of Ba2HoTaO6. It was derived from the PBE geometry in OQMD, using CuKα.

Cell and atoms:
```
Ba2HoTaO6
1.0
0.000 4.221 4.221
4.221 0.000 4.221
4.221 4.221 0.000
Ba Ho Ta O
2 1 1 6
Direct
0.250 0.250 0.250
0.750 0.750 0.750
0.000 0.000 0.000
0.500 0.500 0.500
0.263 0.263 0.737
0.263 0.737 0.263
0.263 0.737 0.737
0.737 0.263 0.263
0.737 0.263 0.737
0.737 0.737 0.263
```

Top 10 peaks for 2θ from 10° to 90°, by intensity:
| 2θ/deg | I_rel |
| --- | --- |
| 29.93 | 100 |
| 53.14 | 41 |
| 42.84 | 28 |
| 86.20 | 22 |
| 70.55 | 18 |
| 62.20 | 18 |
| 78.49 | 6 |
| 21.04 | 5 |
| 48.20 | 2 |
| 66.44 | 1 |

Entry 5:
The following is a calculated PXRD pattern of La2NdSi4Pd4. It was derived from the PBE geometry in OQMD, using CuKα.

Cell and atoms:
```
La2NdSi4Pd4
1.0
-2.095 2.138 12.390
2.095 -2.138 12.390
2.095 2.138 -12.390
La Nd Si Pd
2 1 4 4
Direct
0.147 0.147 0.000
0.853 0.853 0.000
0.500 0.000 0.500
0.048 0.548 0.500
0.303 0.303 0.000
0.697 0.697 0.000
0.952 0.452 0.500
0.251 0.751 0.500
0.403 0.403 0.000
0.597 0.597 0.000
0.749 0.249 0.500
```

Top 12 peaks for 2θ from 10° to 90°, by intensity:
| 2θ/deg | I_rel |
| --- | --- |
| 33.25 | 100 |
| 33.13 | 28 |
| 42.27 | 20 |
| 43.19 | 19 |
| 45.51 | 13 |
| 38.91 | 13 |
| 23.43 | 13 |
| 54.74 | 13 |
| 62.03 | 13 |
| 72.86 | 13 |
| 28.82 | 11 |
| 71.57 | 11 |

Entry 6:
The following is a calculated PXRD pattern of Pm6HoS8. It was derived from the PBE geometry in OQMD, using CuKα.

Cell and atoms:
```
Pm6HoS8
1.0
0.000 5.675 5.675
5.675 0.000 5.675
5.675 5.675 0.000
Pm Ho S
6 1 8
Direct
0.000 0.000 0.500
0.000 0.500 0.000
0.000 0.500 0.500
0.500 0.000 0.000
0.500 0.000 0.500
0.500 0.500 0.000
0.000 0.000 0.000
0.243 0.243 0.757
0.243 0.757 0.243
0.243 0.757 0.757
0.250 0.250 0.250
0.750 0.750 0.750
0.757 0.243 0.243
0.757 0.243 0.757
0.757 0.757 0.243
```

Top 12 peaks for 2θ from 10° to 90°, by intensity:
| 2θ/deg | I_rel |
| --- | --- |
| 31.53 | 100 |
| 45.19 | 72 |
| 27.22 | 67 |
| 53.56 | 34 |
| 74.82 | 32 |
| 56.14 | 25 |
| 83.44 | 24 |
| 13.51 | 17 |
| 72.62 | 14 |
| 65.83 | 12 |
| 89.80 | 11 |
| 26.04 | 10 |